Structure and computed powder diffractogram of FeH12C4S4O6 (a structure optimized by DFT (PBE+U); Cu Kα).
Neutral-atom scattering factors, no anomalous dispersion.

Most intense lines, 5 to 70 degrees two-theta, by angle:
(0 1 0), 2θ 12.98, rel. 87
(1 0 0), 2θ 13.26, rel. 100
(1 0 1), 2θ 15.45, rel. 19
(1 1 0), 2θ 17.12, rel. 66
(1 2 0), 2θ 27.51, rel. 89
(2 1 2), 2θ 28.72, rel. 26
(2 0 2), 2θ 31.19, rel. 36
(0 2 2), 2θ 31.32, rel. 20
(1 -1 2), 2θ 33.10, rel. 21
(-1 1 2), 2θ 33.75, rel. 31

```
data_FeH12C4S4O6
_chemical_formula_sum 'Fe1 H12 C4 S4 O6'
_symmetry_space_group_name_H-M 'P -1'
_symmetry_Int_Tables_number 2
_cell_length_a 7.3199
_cell_length_b 7.4276
_cell_length_c 7.6353
_cell_angle_alpha 68.26
_cell_angle_beta 67.21
_cell_angle_gamma 74.11
loop_
_symmetry_equiv_pos_as_xyz
'x,y,z'
'-x,-y,-z'
loop_
_atom_site_label
_atom_site_fract_x
_atom_site_fract_y
_atom_site_fract_z
_atom_site_occupancy
Fe1 0.0000 0.0000 0.0000 1
H1 0.1069 0.5266 0.1120 1
H2 0.1755 0.3115 0.9498 1
H3 0.2014 0.3103 0.7262 1
H4 0.2517 0.3626 0.2140 1
H5 0.3179 0.5168 0.3994 1
H6 0.4518 0.3087 0.4260 1
C1 0.0992 0.9394 0.3899 1
C2 0.1007 0.9445 0.5782 1
S1 0.2493 0.8492 0.2048 1
S2 0.2513 0.8637 0.7155 1
O1 0.1169 0.2756 0.8697 1
O2 0.2148 0.4149 0.0921 1
O3 0.3120 0.3757 0.4661 1
```